# Sr2SmWO6
Calculated XRD peak list, Cu Kα (λ = 1.5418 Å). Input: a cell relaxed with PBE+U.

Crystal structure
Lattice parameters (Å, degrees): 8.4563 8.4563 8.4563 90.00 90.00 90.00
Space group Pn-3 (No. 201, origin choice 2)
Unique sites:
Sr1 0.2500 0.2500 0.2500
Sr2 0.2500 0.2500 0.7500
Sm1 0.0000 0.0000 0.0000
W1 0.0000 0.0000 0.5000
O1 0.0361 0.5395 0.7673

The 10 most intense peaks (15° ≤ 2θ ≤ 90°), in order of rising 2θ:
index  d_spacing  Rel. int.
2 0 0  4.228  18
2 2 0  2.990  100
4 0 0  2.114  27
4 2 0  1.891  8
4 2 2  1.726  44
4 4 0  1.495  16
4 4 2  1.409  3
6 2 0  1.337  18
4 4 4  1.221  5
6 2 4  1.130  23

=====

# BaMg14VO16
Calculated XRD peak list, Cu Kα (λ = 1.5418 Å). Input: a cell relaxed with PBE+U.

Crystal structure
Lattice parameters (Å, degrees): 4.4973 8.7148 8.8353 90.00 90.00 90.00
Space group Pmmm (No. 47)
Unique sites:
Ba1 0.0000 0.0000 0.0000
Mg1 0.0000 0.2582 0.2581
Mg2 0.0000 0.5000 0.0000
Mg3 0.0000 0.5000 0.5000
Mg4 0.5000 0.0000 0.2626
Mg5 0.5000 0.2525 0.5000
Mg6 0.5000 0.2641 0.0000
Mg7 0.5000 0.5000 0.2529
V1 0.0000 0.0000 0.5000
O1 0.0000 0.0000 0.2736
O2 0.0000 0.2583 0.5000
O3 0.0000 0.2815 0.0000
O4 0.0000 0.5000 0.2583
O5 0.5000 0.0000 0.0000
O6 0.5000 0.0000 0.5000
O7 0.5000 0.2504 0.2512
O8 0.5000 0.5000 0.0000
O9 0.5000 0.5000 0.5000

The 10 most intense peaks (15° ≤ 2θ ≤ 90°), in order of rising 2θ:
index  d_spacing  Rel. int.
1 1 0  4.000  30
1 1 2  2.964  24
1 2 2  2.554  70
2 0 0  2.249  100
0 0 4  2.209  92
0 4 0  2.179  91
2 0 4  1.576  56
2 4 0  1.565  54
0 4 4  1.551  53
2 4 4  1.277  49

=====

# MgMnV4O12
Calculated XRD peak list, Cu Kα (λ = 1.5418 Å). Input: a cell relaxed with PBE+U.

Crystal structure
Lattice parameters (Å, degrees): 5.1052 5.4742 7.1886 95.76 91.20 90.58
Space group P1 (No. 1)
Unique sites:
Mg1 0.0000 0.0000 0.0000
Mn1 0.9905 0.0279 0.4891
V1 0.0128 0.4427 0.7965
V2 0.4718 0.9056 0.2944
V3 0.5058 0.9176 0.7905
V4 0.9632 0.4413 0.2862
O1 0.0940 0.3773 0.0563
O2 0.1512 0.7211 0.3805
O3 0.1619 0.0626 0.7364
O4 0.2758 0.1807 0.3791
O5 0.2952 0.5795 0.7509
O6 0.3682 0.8906 0.0542
O7 0.6450 0.8882 0.5383
O8 0.6834 0.5762 0.2394
O9 0.6901 0.1733 0.8636
O10 0.8143 0.6944 0.8595
O11 0.8154 0.0780 0.2510
O12 0.8824 0.3586 0.5514

The 10 most intense peaks (15° ≤ 2θ ≤ 90°), in order of rising 2θ:
index  d_spacing  Rel. int.
0 1 0  5.446  63
1 0 0  5.104  75
1 -1 0  3.747  100
1 1 0  3.701  100
0 0 2  3.575  94
0 2 0  2.723  72
1 1 -2  2.687  69
1 -1 2  2.658  67
-1 2 1  2.233  54
2 2 -2  1.703  61